No. 1
Structure and simulated X-ray diffraction stick pattern of NpCdPd (DFT lattice parameters and positions (GGA-PBE); Cu Ka).
Lines closer than 0.1° are merged.

Most intense lines, 15° ≤ 2θ ≤ 90°, by angle:
Position (°2θ)  Rel. int.
29.30  32.2
29.88  61.0
36.64  80.6
37.45  65.7
39.22  100.0
42.34  37.3
43.59  35.7
63.67  24.5
66.81  21.9
82.46  25.8

Cell and atoms:
```
NpCdPd
1.0
0.0000 3.8999 6.0955
2.6791 0.0000 6.0955
2.6791 3.8999 0.0000
Np Cd Pd
2 2 2
Cartesian
2.6791 1.3122 6.0955
2.6791 6.4875 6.0955
1.3395 1.9499 3.0477
4.0186 5.8498 9.1432
2.6791 3.8999 4.7213
2.6791 3.8999 7.4697
```



No. 2
Structure and simulated X-ray diffraction stick pattern of BiS6F2 (DFT lattice parameters and positions (GGA-PBE); Cu Ka).
Lines closer than 0.1° are merged.

Most intense lines, 15° ≤ 2θ ≤ 90°, by angle:
Position (°2θ)  Rel. int.
20.25  57.5
20.78  43.8
21.26  70.2
23.25  100.0
25.55  59.6
27.55  44.0
28.94  62.2
29.70  51.8
31.39  49.5
39.86  60.3

Cell and atoms:
```
BiS6F2
1.0
3.8809 0.0000 0.0000
1.0965 6.4831 0.0000
0.6548 2.8256 8.5484
Bi S F
1 6 2
Cartesian
0.0000 0.0000 0.0000
1.2385 6.1541 2.9663
1.3026 4.9889 6.1661
1.3622 2.9475 3.5835
4.2700 6.3612 4.9649
4.3296 4.3198 2.3823
4.3937 3.1546 5.5822
1.9438 1.2520 0.4654
3.6883 8.0567 8.0830
```



No. 3
Structure and simulated X-ray diffraction stick pattern of PrBe2SiPd2 (DFT lattice parameters and positions (GGA-PBE); Cu Ka).
Lines closer than 0.1° are merged.

Most intense lines, 15° ≤ 2θ ≤ 90°, by angle:
Position (°2θ)  Rel. int.
15.38  12.2
26.37  24.2
30.28  86.7
34.13  12.9
37.95  100.0
43.36  36.3
58.96  54.3
71.47  14.3
73.09  13.3
75.95  12.8

Cell and atoms:
```
PrBe2SiPd2
1.0
4.1739 0.0000 0.0000
0.0000 4.1739 0.0000
0.0000 0.0000 5.7624
Pr Be Si Pd
1 2 1 2
Cartesian
0.0000 0.0000 0.0000
0.0000 2.0870 2.8812
2.0870 0.0000 2.8812
0.0000 0.0000 2.8812
2.0870 2.0870 1.4630
2.0870 2.0870 4.2994
```



No. 4
Structure and simulated X-ray diffraction stick pattern of Tl2I3Br6 (DFT lattice parameters and positions (GGA-PBE); Cu Ka).
Lines closer than 0.1° are merged.

Most intense lines, 15° ≤ 2θ ≤ 90°, by angle:
Position (°2θ)  Rel. int.
20.33  100.0
20.46  49.0
22.29  64.7
22.41  32.4
28.96  22.9
34.27  28.8
34.52  58.9
37.45  23.1
37.63  46.1
42.42  23.8

Cell and atoms:
```
Tl2I3Br6
1.0
7.8492 -4.4897 0.0000
7.8492 4.4897 0.0000
-5.1284 0.0000 16.9503
Tl I Br
4 6 12
Cartesian
1.3975 2.2462 16.9171
6.6082 2.2462 8.5083
3.9617 -2.2462 8.4420
9.1724 -2.2462 0.0332
4.0028 3.9285 12.7127
4.1325 0.8294 4.2258
1.5683 -0.8294 12.7009
9.0016 0.8294 4.2493
6.4374 -0.8294 12.7245
6.5671 -3.9285 4.2376
4.3329 3.9485 10.0194
3.6728 3.9485 15.4059
3.9345 1.1242 1.5359
4.3777 0.5494 6.9134
1.3702 -1.1242 10.0110
1.8135 -0.5494 15.3886
8.7564 0.5494 1.5617
9.1997 1.1242 6.9392
6.1922 -0.5494 10.0368
6.6354 -1.1242 15.4143
6.8971 -3.9485 1.5443
6.2370 -3.9485 6.9308
```



No. 5
Structure and simulated X-ray diffraction stick pattern of KCeSc4O8 (DFT lattice parameters and positions (GGA-PBE); Cu Ka).
Lines closer than 0.1° are merged.

Most intense lines, 15° ≤ 2θ ≤ 90°, by angle:
Position (°2θ)  Rel. int.
16.57  78.3
18.94  27.9
27.37  43.2
30.94  50.2
31.76  100.0
38.42  47.1
50.67  30.1
51.22  25.7
54.41  33.8
56.49  31.6

Cell and atoms:
```
KCeSc4O8
1.0
3.2580 1.8810 5.6080
-3.2580 1.8810 5.6080
0.0000 -3.7620 5.6080
K Ce Sc O
1 1 4 8
Cartesian
0.0000 0.0000 0.0000
0.0000 0.0000 10.6123
-1.6969 -0.9797 7.7612
0.0000 0.0000 4.2469
1.6969 -0.9797 7.7612
0.0000 1.9594 7.7612
0.0000 -1.8556 9.0865
-1.6070 0.9278 9.0865
0.0000 0.0000 6.4499
-1.3747 -0.7937 12.2523
0.0000 0.0000 14.3976
1.6070 0.9278 9.0865
1.3747 -0.7937 12.2523
0.0000 1.5873 12.2523
```



No. 6
Structure and simulated X-ray diffraction stick pattern of TbSn2As2Pd7 (DFT lattice parameters and positions (GGA-PBE); Cu Ka).
Lines closer than 0.1° are merged.

Most intense lines, 15° ≤ 2θ ≤ 90°, by angle:
Position (°2θ)  Rel. int.
33.42  31.3
35.09  80.2
37.13  95.4
38.88  70.8
41.85  38.4
43.07  88.5
43.18  100.0
46.89  27.3
62.74  31.4
74.93  37.6

Cell and atoms:
```
TbSn2As2Pd7
1.0
2.9901 -2.9618 0.0000
2.9901 2.9618 0.0000
-1.3283 0.0000 12.6129
Tb Sn As Pd
1 2 2 7
Cartesian
0.0000 0.0000 0.0000
-0.0434 0.0000 4.2548
4.6954 0.0000 8.3581
1.6829 0.0000 9.0876
2.9690 0.0000 3.5254
1.4822 1.4908 2.0722
0.9597 0.0000 6.6876
3.1697 1.4908 10.5407
2.9901 0.0000 0.0000
1.4822 -1.4908 2.0722
3.6922 0.0000 5.9253
3.1697 -1.4908 10.5407
```



No. 7
Structure and simulated X-ray diffraction stick pattern of BeCu3 (DFT lattice parameters and positions (GGA-PBE); Cu Ka).
Lines closer than 0.1° are merged.

Most intense lines, 15° ≤ 2θ ≤ 90°, by angle:
Position (°2θ)  Rel. int.
24.16  13.8
25.79  16.4
35.63  27.8
41.33  16.5
44.51  100.0
48.45  20.2
49.50  22.0
53.02  23.6
75.46  15.0
89.31  11.6

Cell and atoms:
```
BeCu3
1.0
4.8860 0.0000 0.0000
0.0000 7.3660 0.0000
0.0000 0.0000 4.8842
Be Cu
4 12
Cartesian
0.0671 1.8415 0.0649
2.3759 5.5245 2.5070
2.5101 1.8415 2.3772
4.8189 5.5245 4.8193
0.0145 1.8415 2.5162
1.0084 3.7170 3.8784
1.0084 7.3320 3.8784
1.4346 0.0340 1.4363
1.4346 3.6490 1.4363
2.4285 5.5245 0.0741
2.4575 1.8415 4.8101
3.4514 3.7170 3.4479
3.4514 7.3320 3.4479
3.8777 0.0340 1.0058
3.8777 3.6490 1.0058
4.8715 5.5245 2.3680
```



No. 8
Structure and simulated X-ray diffraction stick pattern of CaSi12Ir4 (DFT lattice parameters and positions (GGA-PBE); Cu Ka).
Lines closer than 0.1° are merged.

Most intense lines, 15° ≤ 2θ ≤ 90°, by angle:
Position (°2θ)  Rel. int.
21.24  93.2
30.21  100.0
37.23  33.0
43.25  18.0
48.67  65.4
53.66  54.4
67.12  15.1
71.28  21.7
75.35  15.7
87.18  20.6

Cell and atoms:
```
CaSi12Ir4
1.0
-4.1836 4.1836 4.1836
4.1836 -4.1836 4.1836
4.1836 4.1836 -4.1836
Ca Si Ir
1 12 4
Cartesian
0.0000 0.0000 0.0000
2.9726 0.0000 1.2599
5.3945 0.0000 1.2599
4.1836 2.9237 -1.2110
1.2599 2.9726 0.0000
2.9237 -1.2110 4.1836
4.1836 2.9237 1.2110
0.0000 1.2599 2.9726
1.2599 5.3945 0.0000
2.9237 1.2110 4.1836
0.0000 1.2599 5.3945
-1.2110 4.1836 2.9237
1.2110 4.1836 2.9237
2.0918 2.0918 -2.0918
2.0918 -2.0918 2.0918
-2.0918 2.0918 2.0918
2.0918 2.0918 2.0918
```



Question: Which formula does entry 7 have?
Answer: BeCu3